Record 1
This entry pairs a crystal structure of Sm5Se4 with its theoretical powder X-ray diffraction pattern. Radiation: Cu Ka. Structure: a DFT-relaxed cell (PBE, Alexandria).

Atomic structure:
```
Sm5Se4
1.0
8.8351 0.0000 0.0000
-4.4176 7.6514 0.0000
0.0000 0.0000 6.5356
Sm Se
10 8
direct
0.0000 0.2704 0.2500
0.0000 0.7296 0.7500
0.2704 0.0000 0.2500
0.2704 0.2704 0.7500
0.3333 0.6667 0.0000
0.3333 0.6667 0.5000
0.6667 0.3333 0.0000
0.6667 0.3333 0.5000
0.7296 0.0000 0.7500
0.7296 0.7296 0.2500
0.0000 0.0000 0.0000
0.0000 0.0000 0.5000
0.0000 0.3888 0.7500
0.0000 0.6112 0.2500
0.3888 0.0000 0.7500
0.3888 0.3888 0.2500
0.6112 0.0000 0.2500
0.6112 0.6112 0.7500
```

Principal peaks in the range 10 to 80 degrees two-theta, in order of rising 2θ:
| d (Å) | intensity |
| --- | --- |
| 2.645 | 54 |
| 2.627 | 100 |
| 2.550 | 66 |
| 1.830 | 26 |
| 1.740 | 15 |
| 1.376 | 22 |



Record 2
This entry pairs a crystal structure of ScTlFeCl6 with its theoretical powder X-ray diffraction pattern. Radiation: Cu Ka. Structure: a DFT-relaxed cell (PBE, Alexandria).

Atomic structure:
```
ScTlFeCl6
1.0
3.2548 -5.6385 0.0000
3.2548 5.6385 0.0000
-0.0077 0.0000 7.1714
Sc Tl Fe Cl
1 1 1 6
direct
0.0000 0.0000 0.0000
0.3335 0.6665 0.5000
0.6670 0.3330 0.0000
0.3360 0.2936 0.8011
0.3366 0.0408 0.1984
0.7064 0.6640 0.1989
0.7086 0.0433 0.7993
0.9567 0.2914 0.2007
0.9592 0.6634 0.8016
```

Principal peaks in the range 10 to 80 degrees two-theta, in order of rising 2θ:
| d (Å) | intensity |
| --- | --- |
| 4.432 | 100 |
| 3.026 | 16 |
| 2.964 | 24 |
| 2.624 | 20 |
| 2.410 | 47 |
| 2.043 | 25 |



Repeat the second record exactly.
This entry pairs a crystal structure of ScTlFeCl6 with its theoretical powder X-ray diffraction pattern. Radiation: Cu Ka. Structure: a DFT-relaxed cell (PBE, Alexandria).

Atomic structure:
```
ScTlFeCl6
1.0
3.2548 -5.6385 0.0000
3.2548 5.6385 0.0000
-0.0077 0.0000 7.1714
Sc Tl Fe Cl
1 1 1 6
direct
0.0000 0.0000 0.0000
0.3335 0.6665 0.5000
0.6670 0.3330 0.0000
0.3360 0.2936 0.8011
0.3366 0.0408 0.1984
0.7064 0.6640 0.1989
0.7086 0.0433 0.7993
0.9567 0.2914 0.2007
0.9592 0.6634 0.8016
```

Principal peaks in the range 10 to 80 degrees two-theta, in order of rising 2θ:
| d (Å) | intensity |
| --- | --- |
| 4.432 | 100 |
| 3.026 | 16 |
| 2.964 | 24 |
| 2.624 | 20 |
| 2.410 | 47 |
| 2.043 | 25 |